Computed XRD peak list of Rb3Li for Cu Kα, 1.54184 Å, from a GGA-PBE-relaxed structure.
Neutral-atom scattering factors, no anomalous dispersion.

Structure:
```
data_Rb3Li
_space_group_name_H-M_alt 'P m -3 m'
_space_group_IT_number 221
_space_group_name_Hall '-P 4 2 3'
_cell_length_a 6.5458
_cell_length_b 6.5458
_cell_length_c 6.5458
_cell_angle_alpha 90.00
_cell_angle_beta 90.00
_cell_angle_gamma 90.00
loop_
_atom_site_label
_atom_site_fract_x
_atom_site_fract_y
_atom_site_fract_z
Rb1 0.0000 0.0000 0.5000
Li1 0.5000 0.5000 0.5000
```

The 10 most intense peaks (2θ = 10–80°), low angle first:
2θ (°), Rel. int.
13.5, 25
19.2, 23
23.5, 100
27.2, 52
30.5, 15
38.9, 39
46.0, 48
61.8, 20
63.6, 18
75.5, 15